Entry 1:
The following is a computed PXRD pattern of PaNbS4. It was derived from DFT lattice parameters and positions (GGA-PBE), using CuKα.
Neutral-atom scattering factors, no anomalous dispersion.

a b c (Å): 6.6302 6.6302 6.9666
angles (deg): 90.06 90.06 74.48
Sites, in units of the cell vectors:
Pa1 0.0000 0.5000 0.0000
Pa2 0.5000 0.0000 0.5000
Nb1 0.9998 0.0002 0.2500
Nb2 0.0002 0.9998 0.7500
S1 0.2260 0.7725 0.0002
S2 0.2275 0.7740 0.4998
S3 0.2390 0.2402 0.2507
S4 0.2402 0.2390 0.7507
S5 0.7598 0.7610 0.2493
S6 0.7610 0.7598 0.7493
S7 0.7725 0.2260 0.5002
S8 0.7740 0.2275 0.9998

Largest 10 diffraction maxima, by angle, 2θ from 10° to 80°:
Position (°2θ), d (Å), I_rel
13.86, 6.388, 26.2
18.85, 4.708, 100.0
27.93, 3.194, 13.5
30.56, 2.925, 30.8
33.97, 2.639, 23.8
34.09, 2.630, 47.0
36.99, 2.430, 19.0
41.37, 2.182, 14.0
44.49, 2.036, 11.3
48.89, 1.863, 32.7

Entry 2:
The following is a computed PXRD pattern of Ca2Hg2AsPd4. It was derived from DFT lattice parameters and positions (GGA-PBE), using CuKα.
Neutral-atom scattering factors, no anomalous dispersion.

a b c (Å): 6.6236 6.6236 6.6236
angles (deg): 123.54 123.54 83.96
Sites, in units of the cell vectors:
Ca1 0.2154 0.2154 0.0000
Ca2 0.7846 0.7846 0.0000
Hg1 0.2500 0.7500 0.5000
Hg2 0.7500 0.2500 0.5000
As1 0.5000 0.5000 0.0000
Pd1 0.2255 0.2255 0.4509
Pd2 0.2255 0.7745 0.0000
Pd3 0.7745 0.2255 0.0000
Pd4 0.7745 0.7745 0.5491

Largest 10 diffraction maxima, by angle, 2θ from 10° to 80°:
Position (°2θ), d (Å), I_rel
20.04, 4.430, 13.2
27.07, 3.293, 45.1
33.92, 2.643, 100.0
36.50, 2.462, 28.9
40.73, 2.215, 41.7
49.59, 1.838, 14.9
55.83, 1.647, 30.9
64.05, 1.454, 13.8
69.79, 1.348, 19.9
71.37, 1.322, 13.5

Entry 3:
The following is a computed PXRD pattern of HgS. It was derived from DFT lattice parameters and positions (GGA-PBE), using CuKα.
Neutral-atom scattering factors, no anomalous dispersion.

a b c (Å): 10.3618 10.3618 4.1754
angles (deg): 90.00 90.00 120.00
Sites, in units of the cell vectors:
Hg1 0.0670 0.6961 0.2500
Hg2 0.3039 0.3709 0.2500
Hg3 0.3709 0.0670 0.7500
Hg4 0.6291 0.9330 0.2500
Hg5 0.6961 0.6291 0.7500
Hg6 0.9330 0.3039 0.7500
S1 0.0916 0.4181 0.2500
S2 0.3264 0.9084 0.2500
S3 0.4181 0.3264 0.7500
S4 0.5819 0.6736 0.2500
S5 0.6736 0.0916 0.7500
S6 0.9084 0.5819 0.7500

Largest 10 diffraction maxima, by angle, 2θ from 10° to 80°:
Position (°2θ), d (Å), I_rel
17.11, 5.181, 87.3
23.50, 3.786, 24.6
26.28, 3.392, 44.4
27.43, 3.251, 100.0
29.22, 3.057, 37.6
29.87, 2.991, 45.5
41.00, 2.201, 18.1
42.27, 2.138, 33.8
45.92, 1.976, 35.0
49.36, 1.846, 32.7

Entry 4:
The following is a computed PXRD pattern of Rb2HgH6Au. It was derived from DFT lattice parameters and positions (GGA-PBE), using CuKα.
Neutral-atom scattering factors, no anomalous dispersion.

a b c (Å): 6.0072 6.0072 6.0721
angles (deg): 119.65 119.65 89.98
Sites, in units of the cell vectors:
Rb1 0.2500 0.7500 0.0000
Rb2 0.7500 0.2500 0.0000
Hg1 0.0000 0.0000 0.5000
H1 0.2012 0.2012 0.9037
H2 0.2967 0.7033 0.5000
H3 0.2976 0.2976 0.5010
H4 0.7024 0.7024 0.4990
H5 0.7033 0.2967 0.5000
H6 0.7988 0.7988 0.0963
Au1 0.5000 0.5000 0.5000

Largest 10 diffraction maxima, by angle, 2θ from 10° to 80°:
Position (°2θ), d (Å), I_rel
20.46, 4.340, 9.3
20.91, 4.248, 17.7
29.42, 3.036, 100.0
29.74, 3.004, 48.6
41.62, 2.170, 10.1
42.57, 2.124, 19.0
51.99, 1.759, 20.6
52.59, 1.740, 39.9
61.05, 1.518, 13.0
68.52, 1.369, 9.2

Entry 5:
The following is a computed PXRD pattern of CaTb3Y6Tm2. It was derived from DFT lattice parameters and positions (GGA-PBE), using CuKα.
Neutral-atom scattering factors, no anomalous dispersion.

a b c (Å): 6.2002 6.2002 11.8435
angles (deg): 95.01 95.01 119.97
Sites, in units of the cell vectors:
Ca1 0.0000 0.0000 0.0000
Tb1 0.1658 0.8342 0.5000
Tb2 0.5000 0.5000 0.5000
Tb3 0.8342 0.1658 0.5000
Y1 0.0844 0.4238 0.2518
Y2 0.2550 0.2550 0.7479
Y3 0.4238 0.0844 0.2518
Y4 0.5762 0.9156 0.7482
Y5 0.7450 0.7450 0.2521
Y6 0.9156 0.5762 0.7482
Tm1 0.3335 0.6665 0.0000
Tm2 0.6665 0.3335 0.0000

Largest 10 diffraction maxima, by angle, 2θ from 10° to 80°:
Position (°2θ), d (Å), I_rel
15.19, 5.831, 7.8
30.58, 2.923, 34.0
30.62, 2.920, 100.0
35.49, 2.529, 67.1
51.02, 1.790, 23.6
51.12, 1.787, 23.5
60.70, 1.526, 41.7
60.80, 1.524, 13.8
63.70, 1.461, 8.0
75.12, 1.265, 7.3